# Li5Co5Ni2O12
Theoretical X-ray diffraction stick pattern, copper Kα. Input: the GGA+U geometry in Alexandria.
Intensities are scaled so that the largest is 100.

a b c (Å): 5.028 8.750 9.708
angles (deg): 90.00 100.41 90.00
Space group C2 (No. 5)
Asymmetric unit:
Li 0.000 0.000 0.000 [2 per cell]
Li 0.245 0.994 0.757 [4 per cell]
Li 0.247 0.831 0.243 [4 per cell]
Co 0.000 0.334 0.000 [2 per cell]
Co 0.000 0.496 0.500 [2 per cell]
Co 0.000 0.829 0.500 [2 per cell]
Co 0.246 0.161 0.245 [4 per cell]
Ni 0.000 0.162 0.500 [2 per cell]
Ni 0.000 0.665 0.000 [2 per cell]
O 0.106 0.505 0.885 [4 per cell]
O 0.108 0.669 0.384 [4 per cell]
O 0.111 0.179 0.880 [4 per cell]
O 0.136 0.988 0.385 [4 per cell]
O 0.140 0.820 0.890 [4 per cell]
O 0.145 0.328 0.383 [4 per cell]

The 10 most intense peaks (5 to 70 degrees two-theta), low angle first:
- (0 0 2), 2θ 18.6, intensity 47
- (0 2 0), 2θ 20.3, intensity 24
- (1 1 -1), 2θ 21.3, intensity 18
- (1 1 1), 2θ 24.0, intensity 33
- (0 0 4), 2θ 37.7, intensity 16
- (2 0 -2), 2θ 37.8, intensity 42
- (1 3 -3), 2θ 43.8, intensity 100
- (2 0 2), 2θ 44.2, intensity 49
- (0 6 0), 2θ 63.9, intensity 41
- (3 3 -1), 2θ 64.1, intensity 27